No. 1
Calculated powder diffraction line list of Cr2O3 for Cu Kα X-rays, from the GGA+U geometry in the Materials Project.
Lines closer than 0.1° are merged.

Principal peaks in the range 10° ≤ 2θ ≤ 80°, in order of rising 2θ:
11.32 deg, intensity 100
18.82 deg, intensity 35
31.62 deg, intensity 31
33.18 deg, intensity 21
33.93 deg, intensity 69
39.09 deg, intensity 17
41.03 deg, intensity 40
42.28 deg, intensity 37
44.32 deg, intensity 32
60.85 deg, intensity 18

Structure:
Cell: 5.1702 5.1702 15.6267 Å, 90.00 90.00 146.18°
Atoms (fractional coordinates):
Cr (0.0947, 0.9053, 0.6444)
Cr (0.0947, 0.9053, 0.8556)
Cr (0.3664, 0.6336, 0.5443)
Cr (0.3664, 0.6336, 0.9557)
Cr (0.6336, 0.3664, 0.0443)
Cr (0.6336, 0.3664, 0.4557)
Cr (0.9053, 0.0947, 0.1444)
Cr (0.9053, 0.0947, 0.3556)
O (0.0000, 0.0000, 0.0000)
O (0.0000, 0.0000, 0.5000)
O (0.1725, 0.8275, 0.7500)
O (0.2648, 0.7352, 0.0727)
O (0.2648, 0.7352, 0.4273)
O (0.4719, 0.5281, 0.6480)
O (0.4719, 0.5281, 0.8520)
O (0.5281, 0.4719, 0.1480)
O (0.5281, 0.4719, 0.3520)
O (0.7352, 0.2648, 0.5727)
O (0.7352, 0.2648, 0.9273)
O (0.8275, 0.1725, 0.2500)

No. 2
Calculated powder diffraction line list of Cr3O7 for Cu Kα X-rays, from the GGA+U geometry in the Materials Project.
Lines closer than 0.1° are merged.

Principal peaks in the range 10° ≤ 2θ ≤ 80°, in order of rising 2θ:
15.74 deg, intensity 100
16.83 deg, intensity 14
18.78 deg, intensity 10
23.08 deg, intensity 12
28.69 deg, intensity 37
30.55 deg, intensity 22
40.11 deg, intensity 9
48.80 deg, intensity 11
51.61 deg, intensity 14
54.73 deg, intensity 10

Structure:
Cell: 11.2639 10.5388 5.2875 Å, 90.00 90.00 90.00°
Atoms (fractional coordinates):
Cr (0.1970, 0.0201, 0.2053)
Cr (0.1970, 0.4799, 0.2053)
Cr (0.2264, 0.2500, 0.7038)
Cr (0.2736, 0.7500, 0.2038)
Cr (0.3030, 0.5201, 0.7053)
Cr (0.3030, 0.9799, 0.7053)
Cr (0.6970, 0.0201, 0.2947)
Cr (0.6970, 0.4799, 0.2947)
Cr (0.7264, 0.2500, 0.7962)
Cr (0.7736, 0.7500, 0.2962)
Cr (0.8030, 0.5201, 0.7947)
Cr (0.8030, 0.9799, 0.7947)
O (0.0611, 0.0574, 0.2149)
O (0.0611, 0.4426, 0.2149)
O (0.0820, 0.2500, 0.6905)
O (0.2272, 0.6131, 0.9683)
O (0.2272, 0.8869, 0.9683)
O (0.2311, 0.6136, 0.4370)
O (0.2311, 0.8864, 0.4370)
O (0.2689, 0.1136, 0.9370)
O (0.2689, 0.3864, 0.9370)
O (0.2728, 0.1131, 0.4683)
O (0.2728, 0.3869, 0.4683)
O (0.4180, 0.7500, 0.1905)
O (0.4389, 0.5574, 0.7149)
O (0.4389, 0.9426, 0.7149)
O (0.5611, 0.0574, 0.2851)
O (0.5611, 0.4426, 0.2851)
O (0.5820, 0.2500, 0.8095)
O (0.7272, 0.6131, 0.5317)
O (0.7272, 0.8869, 0.5317)
O (0.7311, 0.6136, 0.0630)
O (0.7311, 0.8864, 0.0630)
O (0.7689, 0.1136, 0.5630)
O (0.7689, 0.3864, 0.5630)
O (0.7728, 0.1131, 0.0317)
O (0.7728, 0.3869, 0.0317)
O (0.9180, 0.7500, 0.3095)
O (0.9389, 0.5574, 0.7851)
O (0.9389, 0.9426, 0.7851)